[1]
Calculated powder diffractogram
Compound: LaGdAl
Radiation: copper Kα
Structure: DFT lattice parameters and positions (PBE)
No peak broadening, texture or thermal motion is included.

Largest 12 diffraction maxima, by angle, 10° ≤ 2θ ≤ 90°:
d 4.604, 2θ 19.28, rel. 55
d 3.222, 2θ 27.69, rel. 38
d 2.658, 2θ 33.72, rel. 100
d 2.640, 2θ 33.96, rel. 58
d 2.050, 2θ 44.17, rel. 65
d 1.873, 2θ 48.61, rel. 21
d 1.535, 2θ 60.32, rel. 19
d 1.531, 2θ 60.47, rel. 22
d 1.385, 2θ 67.62, rel. 18
d 1.378, 2θ 68.05, rel. 26
d 1.229, 2θ 77.73, rel. 12
d 1.111, 2θ 87.87, rel. 13

Structural model:
```
LaGdAl
1.0
5.316 0.000 0.000
-2.658 4.604 0.000
0.000 0.000 3.222
La Gd Al
1 1 1
Direct
0.000 0.000 0.000
0.333 0.667 0.000
0.667 0.333 0.500
```



[2]
Calculated powder diffractogram
Compound: Pm6Nd8Tm
Radiation: copper Kα
Structure: DFT lattice parameters and positions (PBE)
No peak broadening, texture or thermal motion is included.

Largest 12 diffraction maxima, by angle, 10° ≤ 2θ ≤ 90°:
d 3.874, 2θ 22.96, rel. 6
d 3.007, 2θ 29.71, rel. 24
d 2.916, 2θ 30.66, rel. 100
d 2.822, 2θ 31.71, rel. 30
d 2.803, 2θ 31.93, rel. 10
d 2.633, 2θ 34.05, rel. 11
d 2.504, 2θ 35.86, rel. 14
d 1.764, 2θ 51.82, rel. 10
d 1.754, 2θ 52.14, rel. 7
d 1.741, 2θ 52.57, rel. 7
d 1.702, 2θ 53.86, rel. 12
d 1.573, 2θ 58.69, rel. 9

Structural model:
```
Pm6Nd8Tm
1.0
4.641 2.679 7.033
-4.641 2.679 7.033
0.000 -5.359 7.033
Pm Nd Tm
6 8 1
Direct
0.040 0.740 0.598
0.260 0.402 0.960
0.402 0.960 0.260
0.598 0.040 0.740
0.740 0.598 0.040
0.960 0.260 0.402
0.078 0.078 0.078
0.217 0.251 0.613
0.251 0.613 0.217
0.387 0.783 0.749
0.613 0.217 0.251
0.749 0.387 0.783
0.783 0.749 0.387
0.922 0.922 0.922
0.500 0.500 0.500
```



[3]
Calculated powder diffractogram
Compound: YRhS
Radiation: copper Kα
Structure: DFT lattice parameters and positions (PBE)
No peak broadening, texture or thermal motion is included.

Largest 12 diffraction maxima, by angle, 10° ≤ 2θ ≤ 90°:
d 4.462, 2θ 19.90, rel. 16
d 2.878, 2θ 31.07, rel. 100
d 2.855, 2θ 31.34, rel. 39
d 2.762, 2θ 32.42, rel. 27
d 2.644, 2θ 33.90, rel. 59
d 2.386, 2θ 37.70, rel. 25
d 2.230, 2θ 40.44, rel. 32
d 2.015, 2θ 44.98, rel. 25
d 1.883, 2θ 48.33, rel. 21
d 1.705, 2θ 53.75, rel. 18
d 1.699, 2θ 53.99, rel. 42
d 1.572, 2θ 58.74, rel. 13

Structural model:
```
YRhS
1.0
3.714 -4.462 0.000
3.714 4.462 0.000
0.000 0.000 3.766
Y Rh S
2 2 2
Direct
0.212 0.788 0.000
0.788 0.212 0.000
0.317 0.317 0.500
0.683 0.683 0.500
0.000 0.000 0.500
0.500 0.500 0.000
```



[4]
Calculated powder diffractogram
Compound: Th4RhSe5
Radiation: copper Kα
Structure: DFT lattice parameters and positions (PBE)
No peak broadening, texture or thermal motion is included.

Largest 12 diffraction maxima, by angle, 10° ≤ 2θ ≤ 90°:
d 7.856, 2θ 11.26, rel. 44
d 5.209, 2θ 17.02, rel. 16
d 4.516, 2θ 19.66, rel. 18
d 3.706, 2θ 24.02, rel. 18
d 3.003, 2θ 29.75, rel. 61
d 2.920, 2θ 30.61, rel. 100
d 2.825, 2θ 31.67, rel. 18
d 2.156, 2θ 41.90, rel. 46
d 2.081, 2θ 43.48, rel. 22
d 2.036, 2θ 44.51, rel. 40
d 1.711, 2θ 53.57, rel. 24
d 1.367, 2θ 68.65, rel. 18

Structural model:
```
Th4RhSe5
1.0
9.429 -2.081 0.000
9.429 2.081 0.000
-2.425 0.000 7.856
Th Rh Se
4 1 5
Direct
0.001 0.001 0.269
0.326 0.326 0.369
0.674 0.674 0.631
0.999 0.999 0.731
0.500 0.500 0.500
0.165 0.165 0.864
0.168 0.168 0.366
0.500 0.500 0.000
0.832 0.832 0.634
0.835 0.835 0.136
```